Ti3TlH: simulated powder XRD pattern (Cu Ka), based on a DFT-relaxed cell (PBE, Alexandria).
No peak broadening, texture or thermal motion is included.

Structural model:
Unit cell a=4.8214 b=6.4891 c=4.8281 alpha=90.00 beta=90.21 gamma=90.00
Space group P2 (No. 3)
Unique sites:
Ti 0.2501 0.0000 0.2339 (multiplicity 2)
Ti 0.2500 0.2336 0.7500 (multiplicity 2)
Ti 0.2499 0.7635 0.7547 (multiplicity 2)
Tl 0.2500 0.4946 0.2499 (multiplicity 2)
H 0.0000 0.8942 0.5000 (multiplicity 1)
H 0.5000 0.8918 0.5000 (multiplicity 1)

Peak list (6 most intense, 15° ≤ 2θ ≤ 90°, in order of rising 2θ)
index, 2θ/deg, Rel. int.
1 0 1, 26.12, 27
1 1 1, 29.58, 44
2 0 0, 37.27, 54
1 2 1, 38.28, 100
3 2 -1, 67.81, 18
3 2 1, 67.96, 17